Record 1
Sm3Si5Rh6: calculated XRD peak list (Cu Kα X-rays), based on a DFT-relaxed cell (PBE, Alexandria).
Lines closer than 0.1° are merged.

Peak list (12 most intense, 2θ from 10° to 90°, low angle first)
2θ/deg	d [Å]	Rel. int.
23.22	3.831	16
24.02	3.705	13
32.35	2.767	13
34.87	2.573	32
35.43	2.533	34
36.12	2.487	100
36.60	2.455	14
43.50	2.081	19
45.34	2.000	27
58.44	1.579	14
64.64	1.442	12
65.59	1.423	21

```
28
Lattice="4.001 0.000 0.000 0.000 12.483 0.000 0.000 0.000 9.820" Properties=species:S:1:pos:R:3 pbc="T T T"
Sm 1.000 1.168 2.422
Sm 1.000 5.073 2.422
Sm 1.000 9.362 2.386
Sm 3.000 3.121 7.434
Sm 3.000 7.410 7.398
Sm 3.000 11.315 7.398
Si 1.000 0.948 6.356
Si 1.000 5.293 6.356
Si 1.000 7.826 9.719
Si 1.000 9.362 5.953
Si 1.000 10.899 9.719
Si 3.000 1.585 0.100
Si 3.000 3.121 3.867
Si 3.000 4.657 0.100
Si 3.000 7.190 3.464
Si 3.000 11.535 3.464
Rh 1.000 0.611 8.829
Rh 1.000 3.121 0.117
Rh 1.000 3.121 5.124
Rh 1.000 5.630 8.829
Rh 1.000 7.253 4.816
Rh 1.000 11.472 4.816
Rh 3.000 1.011 5.003
Rh 3.000 5.231 5.003
Rh 3.000 6.853 0.991
Rh 3.000 9.362 4.695
Rh 3.000 9.362 9.703
Rh 3.000 11.872 0.991
```

---

Record 2
Li2DyS2: calculated XRD peak list (Cu Kα X-rays), based on a DFT-relaxed cell (PBE, Alexandria).
Lines closer than 0.1° are merged.

Peak list (12 most intense, 2θ from 10° to 90°, low angle first)
2θ/deg	d [Å]	Rel. int.
11.38	7.775	100
26.96	3.308	16
27.77	3.212	41
30.84	2.899	15
32.97	2.716	46
38.14	2.359	20
41.09	2.197	13
47.11	1.929	17
47.54	1.913	15
48.63	1.872	16
58.70	1.573	8
68.53	1.369	8

```
5
Lattice="1.929 1.114 7.775 -1.929 1.114 7.775 0.000 -2.228 7.775" Properties=species:S:1:pos:R:3 pbc="T T T"
Li 0.000 0.000 5.269
Li 0.000 0.000 18.055
Dy 0.000 0.000 0.000
S 0.000 0.000 9.467
S 0.000 0.000 13.858
```

---

Record 3
MnPdS6: calculated XRD peak list (Cu Kα X-rays), based on a DFT-relaxed cell (PBE, Alexandria).
Lines closer than 0.1° are merged.

Peak list (12 most intense, 2θ from 10° to 90°, low angle first)
2θ/deg	d [Å]	Rel. int.
14.04	6.306	100
17.24	5.144	9
22.15	4.014	7
26.17	3.406	14
30.60	2.921	30
32.11	2.788	10
34.86	2.573	18
35.52	2.527	11
36.69	2.450	8
37.37	2.406	9
40.48	2.228	17
42.79	2.113	7

```
8
Lattice="5.053 0.000 0.000 -0.821 5.577 0.000 -1.404 -2.639 6.306" Properties=species:S:1:pos:R:3 pbc="T T T"
Mn 0.000 0.000 0.000
Pd 2.116 2.788 0.000
S -0.969 -0.107 4.577
S 0.323 1.789 1.504
S 1.262 4.962 0.706
S 1.567 -2.024 5.599
S 2.505 1.149 4.802
S 3.798 3.045 1.728
```

---

Record 4
TbY3Te2: calculated XRD peak list (Cu Kα X-rays), based on a DFT-relaxed cell (PBE, Alexandria).
Lines closer than 0.1° are merged.

Peak list (12 most intense, 2θ from 10° to 90°, low angle first)
2θ/deg	d [Å]	Rel. int.
17.62	5.033	8
32.91	2.721	100
33.64	2.664	22
33.81	2.651	24
46.01	1.973	10
48.44	1.879	15
58.19	1.585	9
58.30	1.583	10
59.70	1.549	14
59.92	1.544	17
69.02	1.361	10
76.79	1.241	9

```
6
Lattice="2.651 -7.992 0.000 2.651 7.992 0.000 0.000 0.000 3.945" Properties=species:S:1:pos:R:3 pbc="T T T"
Tb 0.000 0.000 0.000
Y 2.651 2.848 0.000
Y 2.651 0.000 1.973
Y 2.651 -2.848 0.000
Te 2.651 5.488 1.973
Te 2.651 -5.488 1.973
```

---

Record 5
ReAg2Rh: calculated XRD peak list (Cu Kα X-rays), based on a DFT-relaxed cell (PBE, Alexandria).
Lines closer than 0.1° are merged.

Peak list (12 most intense, 2θ from 10° to 90°, low angle first)
2θ/deg	d [Å]	Rel. int.
18.26	4.858	5
37.01	2.429	33
38.52	2.337	31
41.41	2.180	100
46.60	1.949	4
54.48	1.684	21
65.23	1.430	6
69.69	1.349	18
71.65	1.317	19
77.44	1.232	7
78.39	1.220	8
82.55	1.169	3

```
4
Lattice="1.430 -2.337 0.000 1.430 2.337 0.000 0.000 0.000 9.717" Properties=species:S:1:pos:R:3 pbc="T T T"
Re 0.000 0.000 0.000
Ag 0.000 0.000 4.663
Ag 1.430 0.000 7.189
Rh 1.430 0.000 2.163
```

---

Record 6
TiZn3Ag2: calculated XRD peak list (Cu Kα X-rays), based on a DFT-relaxed cell (PBE, Alexandria).
Lines closer than 0.1° are merged.

Peak list (12 most intense, 2θ from 10° to 90°, low angle first)
2θ/deg	d [Å]	Rel. int.
15.31	5.786	4
23.06	3.857	2
32.01	2.796	3
34.78	2.579	3
39.02	2.308	100
44.46	2.038	35
47.12	1.929	14
64.70	1.441	10
66.79	1.401	19
78.21	1.222	24
82.08	1.174	10
83.81	1.154	10

```
6
Lattice="2.881 0.000 0.000 0.000 2.881 0.000 0.000 0.000 11.572" Properties=species:S:1:pos:R:3 pbc="T T T"
Ti 0.000 0.000 0.000
Zn 1.441 1.441 1.903
Zn 1.441 1.441 5.786
Zn 1.441 1.441 9.669
Ag 0.000 0.000 3.850
Ag 0.000 0.000 7.722
```

---

Record 7
NaLiCaF4: calculated XRD peak list (Cu Kα X-rays), based on a DFT-relaxed cell (PBE, Alexandria).
Lines closer than 0.1° are merged.

Peak list (12 most intense, 2θ from 10° to 90°, low angle first)
2θ/deg	d [Å]	Rel. int.
22.44	3.961	16
25.12	3.545	24
32.80	2.731	11
34.21	2.621	58
37.38	2.406	76
44.69	2.028	45
44.91	2.019	23
45.78	1.982	100
49.15	1.854	79
58.91	1.568	12
68.60	1.368	20
68.76	1.365	19

```
14
Lattice="2.624 -6.056 0.000 2.624 6.056 0.000 0.000 0.000 5.238" Properties=species:S:1:pos:R:3 pbc="T T T"
Na 2.624 4.757 3.928
Na 2.624 -4.757 1.309
Li 2.624 3.156 1.309
Li 2.624 -3.156 3.928
Ca 2.624 1.466 3.928
Ca 2.624 -1.466 1.309
F 1.312 3.028 0.000
F 1.312 3.028 2.619
F 2.624 5.129 1.309
F 2.624 0.781 1.309
F 1.312 -3.028 0.000
F 1.312 -3.028 2.619
F 2.624 -0.781 3.928
F 2.624 -5.129 3.928
```

---

Record 8
ThP2Ir4: calculated XRD peak list (Cu Kα X-rays), based on a DFT-relaxed cell (PBE, Alexandria).
Lines closer than 0.1° are merged.

Peak list (12 most intense, 2θ from 10° to 90°, low angle first)
2θ/deg	d [Å]	Rel. int.
28.51	3.130	16
35.11	2.556	100
37.06	2.426	41
40.76	2.214	28
42.50	2.127	16
44.19	2.050	24
47.43	1.917	21
48.96	1.860	18
61.68	1.504	19
65.54	1.424	34
70.55	1.335	16
80.15	1.198	14

```
14
Lattice="7.670 0.000 0.000 0.000 7.670 0.000 0.000 0.000 3.833" Properties=species:S:1:pos:R:3 pbc="T T T"
Th 0.000 0.000 0.000
Th 3.835 3.835 1.917
P 1.753 1.753 1.917
P 2.082 5.588 0.000
P 5.588 2.082 0.000
P 5.918 5.918 1.917
Ir 0.552 5.173 1.917
Ir 1.338 3.283 0.000
Ir 2.497 7.118 1.917
Ir 3.283 1.338 0.000
Ir 4.388 6.332 0.000
Ir 5.173 0.552 1.917
Ir 6.332 4.388 0.000
Ir 7.118 2.497 1.917
```